Starting from a GGA+U-relaxed structure, the PXRD pattern of Tl2CrCuF6 was simulated for copper Kα.
No peak broadening, texture or thermal motion is included.

Structural model:
Cell: 6.3634 7.8482 6.3639 Å, 90.00 90.00 90.00°
Space group Pmmn (No. 59, origin choice 2)
Inequivalent atoms, fractional coordinates:
Tl 0.2500 0.0000 0.2494 [4 per cell]
Cr 0.2500 0.2500 0.7496 [2 per cell]
Cu 0.2500 0.7500 0.7489 [2 per cell]
F 0.0323 0.2500 0.5321 [4 per cell]
F 0.0323 0.2500 0.9671 [4 per cell]
F 0.2500 0.5037 0.7498 [4 per cell]

Main lines, low angle first (2θ = 10–90°):
| h k l | Position (°2θ) | Rel. int. |
| --- | --- | --- |
| 1 0 1 | 19.73 | 30 |
| 2 0 0 | 28.04 | 61 |
| 1 2 1 | 30.22 | 100 |
| 2 2 0 | 36.35 | 39 |
| 2 0 2 | 40.08 | 39 |
| 3 2 1 | 51.00 | 45 |
| 2 4 0 | 54.98 | 19 |
| 2 4 2 | 62.84 | 19 |